For Ce2Al2Si4Rh, a DFT-relaxed cell (PBE, Alexandria) gives the theoretical X-ray powder pattern in this record (CuKα).
Neutral-atom scattering factors, no anomalous dispersion.

Structural model:
```
9
Lattice="-3.067 3.067 4.281 3.067 -3.067 4.281 3.067 3.067 -4.281" Properties=species:S:1:pos:R:3 pbc="T T T"
Ce 3.067 0.000 2.140
Ce 0.000 3.067 2.140
Al 0.000 0.000 1.798
Al 0.000 0.000 6.763
Si 1.326 1.326 0.000
Si 1.740 -1.740 4.281
Si -1.740 1.740 4.281
Si 1.740 1.740 4.281
Rh 0.000 0.000 4.281
```

Principal peaks in the range 10° ≤ 2θ ≤ 90°, sorted by position:
d [Å]	I_rel
3.067	48
3.046	100
2.612	15
2.493	52
2.168	47
2.140	22
1.767	37
1.755	17
1.533	14
1.523	27



For Ce3Al12Ru4, a DFT-relaxed cell (PBE, Alexandria) gives the theoretical X-ray powder pattern in this record (CuKα).
Neutral-atom scattering factors, no anomalous dispersion.

Structural model:
```
38
Lattice="8.889 0.000 0.000 -4.444 7.698 0.000 0.000 0.000 9.549" Properties=species:S:1:pos:R:3 pbc="T T T"
Ce 0.000 2.984 2.387
Ce -1.860 6.206 2.387
Ce 2.584 1.492 7.162
Ce 1.860 6.206 2.387
Ce 6.304 1.492 7.162
Ce 4.444 4.713 7.162
Al 0.000 0.000 2.387
Al 0.000 0.000 7.162
Al -1.393 4.327 7.162
Al 0.000 2.499 5.517
Al 0.000 2.499 8.807
Al -2.280 6.448 5.517
Al -2.280 6.448 8.807
Al 2.164 1.250 0.742
Al 2.164 1.250 4.032
Al 0.000 5.132 0.154
Al 0.000 5.132 4.620
Al 1.393 4.327 7.162
Al 0.000 6.741 7.162
Al 4.444 0.957 2.387
Al 3.051 3.370 2.387
Al 4.444 2.566 4.929
Al 4.444 2.566 9.394
Al 2.280 6.448 5.517
Al 2.280 6.448 8.807
Al 6.724 1.250 0.742
Al 6.724 1.250 4.032
Al 4.444 5.199 0.742
Al 4.444 5.199 4.032
Al 5.838 3.370 2.387
Ru 0.000 0.000 0.000
Ru 0.000 0.000 4.774
Ru -2.222 3.849 0.000
Ru -2.222 3.849 4.774
Ru 4.444 0.000 0.000
Ru 4.444 0.000 4.774
Ru 2.222 3.849 0.000
Ru 2.222 3.849 4.774
```

Principal peaks in the range 10° ≤ 2θ ≤ 90°, sorted by position:
d [Å]	I_rel
5.993	30
3.570	48
2.996	100
2.909	19
2.481	61
2.453	62
2.387	35
2.222	85
1.627	37
1.471	19



For Ce2AlRu, a DFT-relaxed cell (PBE, Alexandria) gives the theoretical X-ray powder pattern in this record (CuKα).
Neutral-atom scattering factors, no anomalous dispersion.

Structural model:
```
24
Lattice="7.809 0.000 0.000 -3.904 6.762 0.000 0.000 0.000 9.756" Properties=species:S:1:pos:R:3 pbc="T T T"
Ce -1.019 1.765 0.000
Ce -1.624 2.812 3.204
Ce -2.281 3.950 8.082
Ce -2.885 4.997 4.878
Ce 2.038 0.000 0.000
Ce 1.019 1.765 4.878
Ce 3.248 0.000 3.204
Ce 1.624 2.812 8.082
Ce 4.561 0.000 8.082
Ce 2.281 3.950 3.204
Ce 5.770 0.000 4.878
Ce 2.885 4.997 0.000
Al 0.000 0.000 2.420
Al 0.000 0.000 7.298
Al 0.000 4.508 0.913
Al 0.000 4.508 5.791
Al 3.904 2.254 0.913
Al 3.904 2.254 5.791
Ru -1.333 2.309 6.485
Ru -2.571 4.453 1.607
Ru 2.666 0.000 6.485
Ru 1.333 2.309 1.607
Ru 5.142 0.000 1.607
Ru 2.571 4.453 6.485
```

Principal peaks in the range 10° ≤ 2θ ≤ 90°, sorted by position:
d [Å]	I_rel
3.956	11
3.904	38
2.779	33
2.499	100
2.472	43
2.254	29
1.842	13
1.625	15
1.551	11
1.501	9



For Ce2AlS5, a DFT-relaxed cell (PBE, Alexandria) gives the theoretical X-ray powder pattern in this record (CuKα).
Neutral-atom scattering factors, no anomalous dispersion.

Structural model:
```
32
Lattice="11.465 0.000 0.000 0.000 8.456 0.000 -1.018 0.000 8.271" Properties=species:S:1:pos:R:3 pbc="T T T"
Ce 0.176 0.962 2.009
Ce -0.333 3.266 6.145
Ce 3.095 1.332 7.990
Ce 3.604 2.896 3.854
Ce 6.843 5.560 4.417
Ce 7.352 7.124 0.281
Ce 10.780 5.190 2.126
Ce 10.271 7.494 6.262
Al 2.401 5.119 8.069
Al 2.910 7.565 3.933
Al 7.537 0.891 4.338
Al 8.046 3.337 0.202
S 0.151 5.492 7.999
S 0.660 7.192 3.863
S 0.340 0.948 7.552
S 0.848 3.280 3.417
S 2.974 0.617 2.217
S 2.465 3.611 6.353
S 3.682 0.600 5.410
S 4.190 3.628 1.274
S 4.098 5.676 4.002
S 3.589 7.008 8.137
S 6.858 1.448 0.134
S 6.350 2.780 4.269
S 6.257 4.828 6.997
S 6.765 7.856 2.861
S 7.982 4.845 1.918
S 7.473 7.839 6.054
S 9.599 5.176 4.854
S 10.107 7.508 0.719
S 9.787 1.264 4.408
S 10.296 2.964 0.272
```

Principal peaks in the range 10° ≤ 2θ ≤ 90°, sorted by position:
d [Å]	I_rel
6.787	64
4.049	65
3.793	64
3.516	100
2.621	35
2.490	25
2.310	63
2.211	33
2.068	39
2.049	22



For CeAlTl2S4, a DFT-relaxed cell (PBE, Alexandria) gives the theoretical X-ray powder pattern in this record (CuKα).
Neutral-atom scattering factors, no anomalous dispersion.

Structural model:
```
16
Lattice="-3.880 4.350 5.815 3.880 -4.350 5.815 3.880 4.350 -5.815" Properties=species:S:1:pos:R:3 pbc="T T T"
Ce 0.000 0.000 0.000
Ce 0.000 4.350 0.000
Al -1.940 2.175 2.907
Al 1.940 2.175 2.907
Tl 1.940 2.175 -2.907
Tl 1.940 -2.175 2.907
Tl 3.880 0.000 0.000
Tl 0.000 0.000 5.815
S 1.771 2.175 0.392
S 2.109 -2.175 6.207
S 0.000 0.527 2.810
S 3.880 0.527 3.004
S 0.000 3.823 2.810
S 3.880 3.823 3.004
S 1.771 6.525 -0.392
S 2.109 2.175 5.423
```

Principal peaks in the range 10° ≤ 2θ ≤ 90°, sorted by position:
d [Å]	I_rel
6.967	27
3.483	71
3.390	22
3.227	55
2.907	50
2.896	100
2.175	19
2.052	69
1.804	29
1.695	20



For Ce3AlTl3S8, a DFT-relaxed cell (PBE, Alexandria) gives the theoretical X-ray powder pattern in this record (CuKα).
Neutral-atom scattering factors, no anomalous dispersion.

Structural model:
```
15
Lattice="7.020 -4.002 0.000 7.020 4.002 0.000 -4.826 0.000 7.472" Properties=species:S:1:pos:R:3 pbc="T T T"
Ce 0.000 0.000 0.000
Ce 3.510 2.001 0.000
Ce 3.510 -2.001 0.000
Al 7.020 0.000 0.000
Tl -2.413 0.000 3.736
Tl 1.097 2.001 3.736
Tl 1.097 -2.001 3.736
S 2.324 0.000 1.511
S 5.942 1.816 1.382
S 0.050 0.000 6.042
S 3.271 1.816 6.090
S 5.942 -1.816 1.382
S 9.163 0.000 1.430
S 3.271 -1.816 6.090
S 6.889 0.000 5.961
```

Principal peaks in the range 10° ≤ 2θ ≤ 90°, sorted by position:
d [Å]	I_rel
6.623	32
3.736	39
3.368	26
3.311	50
2.967	100
2.948	50
2.210	23
2.171	36
2.020	34
1.893	18